# 1
Computed powder diffractogram
Compound: Ac8La3Dy2
Radiation: a wavelength of 1.5418 Å
Structure: a crystal structure in Alexandria, relaxed with GGA-PBE
Lines closer than 0.1° are merged.

Atomic structure:
abc: 11.4614 11.4614 6.2034
angles: 90.00 90.00 137.12
Sites, in units of the cell vectors:
Ac (0.1347, 0.8653, 0.0000)
Ac (0.1802, 0.3962, 0.5000)
Ac (0.3234, 0.6766, 0.0000)
Ac (0.3962, 0.1802, 0.5000)
Ac (0.6038, 0.8198, 0.5000)
Ac (0.6766, 0.3234, 0.0000)
Ac (0.8198, 0.6038, 0.5000)
Ac (0.8653, 0.1347, 0.0000)
La (0.0000, 0.0000, 0.5000)
La (0.2960, 0.2960, 0.0000)
La (0.7040, 0.7040, 0.0000)
Dy (0.2413, 0.7587, 0.5000)
Dy (0.7587, 0.2413, 0.5000)

Principal peaks in the range 2θ = 10–80°, low angle first:
16.62 deg, 5.334 Å, intensity 109
22.81 deg, 3.899 Å, intensity 225
25.66 deg, 3.472 Å, intensity 197
27.51 deg, 3.242 Å, intensity 378
28.78 deg, 3.102 Å, intensity 489
28.94 deg, 3.085 Å, intensity 365
30.73 deg, 2.910 Å, intensity 1000
37.03 deg, 2.427 Å, intensity 131
50.49 deg, 1.807 Å, intensity 127
52.23 deg, 1.751 Å, intensity 232
52.77 deg, 1.735 Å, intensity 196
61.28 deg, 1.513 Å, intensity 128



# 2
Computed powder diffractogram
Compound: Ca3SiO5
Radiation: a wavelength of 1.5418 Å
Structure: a crystal structure in Alexandria, relaxed with GGA-PBE
Lines closer than 0.1° are merged.

Atomic structure:
abc: 7.1583 7.1583 9.5904
angles: 111.86 111.86 60.03
Sites, in units of the cell vectors:
Ca (0.0000, 0.0000, 0.0000)
Ca (0.0009, 0.5183, 0.0031)
Ca (0.2224, 0.2224, 0.6693)
Ca (0.2223, 0.7434, 0.6668)
Ca (0.2453, 0.7933, 0.3094)
Ca (0.5183, 0.0009, 0.0031)
Ca (0.7434, 0.2223, 0.6668)
Ca (0.7933, 0.2453, 0.3094)
Ca (0.7936, 0.7936, 0.3118)
Si (0.2837, 0.2837, 0.3317)
Si (0.5034, 0.5034, 0.9905)
Si (0.7191, 0.7191, 0.6375)
O (0.0069, 0.0069, 0.4966)
O (0.1343, 0.1343, 0.8833)
O (0.1375, 0.1375, 0.2656)
O (0.1394, 0.5147, 0.2714)
O (0.2715, 0.6474, 0.0494)
O (0.3439, 0.3439, 0.5206)
O (0.4434, 0.4434, 0.8021)
O (0.4919, 0.8669, 0.7056)
O (0.5147, 0.1394, 0.2714)
O (0.6474, 0.2715, 0.0494)
O (0.6492, 0.6492, 0.0545)
O (0.6540, 0.6540, 0.4437)
O (0.8669, 0.4919, 0.7056)
O (0.8666, 0.8666, 0.7032)
O (0.8864, 0.8864, 0.1400)

Principal peaks in the range 2θ = 10–80°, low angle first:
29.01 deg, 3.078 Å, intensity 869
29.63 deg, 3.015 Å, intensity 186
30.99 deg, 2.886 Å, intensity 785
31.99 deg, 2.798 Å, intensity 1000
33.67 deg, 2.662 Å, intensity 639
37.81 deg, 2.379 Å, intensity 185
40.17 deg, 2.245 Å, intensity 371
40.94 deg, 2.204 Å, intensity 231
45.56 deg, 1.991 Å, intensity 178
51.03 deg, 1.790 Å, intensity 838
54.64 deg, 1.680 Å, intensity 609
60.91 deg, 1.521 Å, intensity 453



Q: What is the formula in the second record?
A: Ca3SiO5